Record 1
Starting from a DFT-relaxed cell (PBE, Alexandria), the powder diffraction line list of Cs5DyO4 was simulated for copper Kα.

Largest 8 diffraction maxima, most intense first, 15 to 90 degrees two-theta:
2θ (°), Rel. int., (hkl)
26.3, 100, 4 0 -2
27.4, 91, 3 1 0
32.4, 86, 1 1 -2
28.2, 43, 6 0 0
55.5, 26, 4 2 -2
43.6, 25, 7 1 -2
43.5, 24, 5 1 2
48.0, 15, 0 2 0

Atomic structure:
Cell: 19.387 3.793 8.045 Å, 90.00 101.78 90.00°
Space group C2/m (No. 12)
Asymmetric unit:
Cs 0.000 0.000 0.000
Cs 0.148 0.500 0.804
Cs 0.150 0.500 0.341
Dy 0.000 0.000 0.500
O 0.001 0.500 0.693
O 0.121 0.000 0.559


Record 2
Starting from a DFT-relaxed cell (PBE, Alexandria), the powder diffraction line list of CsDy2OsO8 was simulated for copper Kα.

Largest 8 diffraction maxima, most intense first, 15 to 90 degrees two-theta:
2θ (°), Rel. int., (hkl)
29.1, 100, 1 1 2
25.5, 52, 2 0 0
25.2, 50, 0 2 0
46.9, 32, 1 3 2
36.2, 29, 2 2 0
47.2, 17, 3 1 -2
47.4, 16, 3 1 2
53.6, 10, 0 2 4

Atomic structure:
Cell: 6.975 7.075 7.806 Å, 90.00 90.20 90.00°
Space group C2/m (No. 12)
Asymmetric unit:
Cs 0.000 0.000 0.000
Dy 0.000 0.500 0.285
Os 0.000 0.000 0.500
O 0.001 0.187 0.670
O 0.108 0.500 0.000
O 0.217 0.500 0.501


Record 3
Starting from a DFT-relaxed cell (PBE, Alexandria), the powder diffraction line list of Cs3Dy3PuO8 was simulated for copper Kα.

Largest 8 diffraction maxima, most intense first, 15 to 90 degrees two-theta:
2θ (°), Rel. int., (hkl)
34.0, 100, 0 2 4
30.5, 88, 2 0 2
25.5, 54, 0 0 6
45.6, 37, 2 0 8
58.7, 33, 2 2 6
51.9, 31, 2 2 0
53.0, 26, 0 2 10
15.1, 21, 1 0 1

Atomic structure:
Cell: 7.0472 7.0472 20.9836 Å, 90.00 90.00 120.00°
Space group R-3m (No. 166, hexagonal axes)
Asymmetric unit:
Cs 0.0000 0.5000 0.0000
Dy 0.0000 0.5000 0.5000
Pu 0.0000 0.0000 0.5000
O 0.0000 0.0000 0.2194
O 0.0103 0.5051 0.2188